Entry 1:
The following is a simulated XRD peak list of Th4SiOs. It was derived from a crystal structure in Alexandria, relaxed with GGA-PBE, using λ = 1.5418 Å (Cu Kα).
Neutral-atom scattering factors, no anomalous dispersion.

Main lines, by angle (15° ≤ 2θ ≤ 90°):
2θ 29.72, I 15
2θ 31.32, I 100
2θ 34.58, I 17
2θ 38.91, I 26
2θ 39.26, I 27
2θ 53.76, I 23
2θ 54.31, I 20
2θ 59.51, I 9
2θ 62.47, I 19
2θ 71.32, I 9
2θ 71.79, I 10
2θ 75.63, I 8

Structural model:
abc: 7.2570 7.2570 6.0120
angles: 90.00 90.00 90.00
Positions (direct):
Th: 0.1576 0.3274 0.0000
Th: 0.1576 0.6726 0.5000
Th: 0.3274 0.1576 0.5000
Th: 0.3274 0.8424 0.0000
Th: 0.6726 0.1576 0.0000
Th: 0.6726 0.8424 0.5000
Th: 0.8424 0.3274 0.5000
Th: 0.8424 0.6726 0.0000
Si: 0.5000 0.5000 0.2500
Si: 0.5000 0.5000 0.7500
Os: 0.0000 0.0000 0.2500
Os: 0.0000 0.0000 0.7500

---

Entry 2:
The following is a simulated XRD peak list of ThSi7Os3. It was derived from a crystal structure in Alexandria, relaxed with GGA-PBE, using λ = 1.5418 Å (Cu Kα).
Neutral-atom scattering factors, no anomalous dispersion.

Main lines, by angle (15° ≤ 2θ ≤ 90°):
2θ 15.90, I 22
2θ 26.63, I 100
2θ 35.30, I 54
2θ 39.93, I 17
2θ 40.58, I 49
2θ 46.65, I 34
2θ 49.02, I 14
2θ 49.20, I 28
2θ 65.62, I 19
2θ 69.84, I 23
2θ 70.42, I 18
2θ 78.15, I 15

Structural model:
abc: 8.1000 8.1000 8.1000
angles: 56.77 56.77 56.77
Positions (direct):
Th: 0.0000 0.0000 0.0000
Th: 0.5000 0.5000 0.5000
Si: 0.0587 0.8537 0.6698
Si: 0.1463 0.3302 0.9413
Si: 0.1698 0.3537 0.5587
Si: 0.2500 0.2500 0.2500
Si: 0.3302 0.9413 0.1463
Si: 0.3537 0.5587 0.1698
Si: 0.4413 0.8302 0.6463
Si: 0.5587 0.1698 0.3537
Si: 0.6463 0.4413 0.8302
Si: 0.6698 0.0587 0.8537
Si: 0.7500 0.7500 0.7500
Si: 0.8302 0.6463 0.4413
Si: 0.8537 0.6698 0.0587
Si: 0.9413 0.1463 0.3302
Os: 0.0784 0.7500 0.4216
Os: 0.2500 0.5784 0.9216
Os: 0.4216 0.0784 0.7500
Os: 0.5784 0.9216 0.2500
Os: 0.7500 0.4216 0.0784
Os: 0.9216 0.2500 0.5784

---

Entry 3:
The following is a simulated XRD peak list of TmSi7Os3. It was derived from a crystal structure in Alexandria, relaxed with GGA-PBE, using λ = 1.5418 Å (Cu Kα).
Neutral-atom scattering factors, no anomalous dispersion.

Main lines, by angle (15° ≤ 2θ ≤ 90°):
2θ 16.06, I 11
2θ 26.90, I 100
2θ 35.77, I 42
2θ 40.32, I 12
2θ 40.91, I 43
2θ 47.36, I 34
2θ 49.61, I 47
2θ 55.45, I 10
2θ 66.21, I 19
2θ 70.92, I 20
2θ 71.16, I 14
2θ 79.11, I 12

Structural model:
abc: 7.9886 7.9886 7.9886
angles: 57.15 57.15 57.15
Positions (direct):
Tm: 0.0000 0.0000 0.0000
Tm: 0.5000 0.5000 0.5000
Si: 0.0638 0.8539 0.6689
Si: 0.1461 0.3311 0.9362
Si: 0.1689 0.3539 0.5638
Si: 0.2500 0.2500 0.2500
Si: 0.3311 0.9362 0.1461
Si: 0.3539 0.5638 0.1689
Si: 0.4362 0.8311 0.6461
Si: 0.5638 0.1689 0.3539
Si: 0.6461 0.4362 0.8311
Si: 0.6689 0.0638 0.8539
Si: 0.7500 0.7500 0.7500
Si: 0.8311 0.6461 0.4362
Si: 0.8539 0.6689 0.0638
Si: 0.9362 0.1461 0.3311
Os: 0.0785 0.7500 0.4215
Os: 0.2500 0.5785 0.9215
Os: 0.4215 0.0785 0.7500
Os: 0.5785 0.9215 0.2500
Os: 0.7500 0.4215 0.0785
Os: 0.9215 0.2500 0.5785

---

Entry 4:
The following is a simulated XRD peak list of Tm3Si2Os2. It was derived from a crystal structure in Alexandria, relaxed with GGA-PBE, using λ = 1.5418 Å (Cu Kα).
Neutral-atom scattering factors, no anomalous dispersion.

Main lines, by angle (15° ≤ 2θ ≤ 90°):
2θ 24.01, I 22
2θ 27.29, I 30
2θ 33.50, I 33
2θ 34.55, I 22
2θ 35.23, I 65
2θ 35.99, I 40
2θ 39.61, I 53
2θ 40.19, I 100
2θ 40.43, I 37
2θ 44.71, I 24
2θ 57.88, I 17
2θ 60.09, I 19

Structural model:
abc: 5.5358 7.4879 13.3876
angles: 90.00 90.00 90.00
Positions (direct):
Tm: 0.1224 0.2477 0.2500
Tm: 0.1224 0.2523 0.7500
Tm: 0.3567 0.6039 0.1012
Tm: 0.3567 0.6039 0.3988
Tm: 0.3567 0.8961 0.6012
Tm: 0.3567 0.8961 0.8988
Tm: 0.6433 0.1039 0.1012
Tm: 0.6433 0.1039 0.3988
Tm: 0.6433 0.3961 0.6012
Tm: 0.6433 0.3961 0.8988
Tm: 0.8776 0.7477 0.2500
Tm: 0.8776 0.7523 0.7500
Si: 0.1012 0.2500 0.0000
Si: 0.1012 0.2500 0.5000
Si: 0.3668 0.5987 0.7500
Si: 0.3668 0.9013 0.2500
Si: 0.6332 0.0987 0.7500
Si: 0.6332 0.4013 0.2500
Si: 0.8988 0.7500 0.0000
Si: 0.8988 0.7500 0.5000
Os: 0.1492 0.5278 0.5919
Os: 0.1492 0.5278 0.9081
Os: 0.1492 0.9722 0.0919
Os: 0.1492 0.9722 0.4081
Os: 0.8508 0.0278 0.5919
Os: 0.8508 0.0278 0.9081
Os: 0.8508 0.4722 0.0919
Os: 0.8508 0.4722 0.4081

---

Entry 5:
The following is a simulated XRD peak list of Tm3Si8Os3. It was derived from a crystal structure in Alexandria, relaxed with GGA-PBE, using λ = 1.5418 Å (Cu Kα).
Neutral-atom scattering factors, no anomalous dispersion.

Main lines, by angle (15° ≤ 2θ ≤ 90°):
2θ 24.28, I 23
2θ 29.72, I 100
2θ 31.47, I 65
2θ 35.73, I 38
2θ 36.39, I 41
2θ 36.78, I 18
2θ 38.84, I 23
2θ 41.63, I 19
2θ 42.30, I 24
2θ 43.42, I 38
2θ 57.91, I 22
2θ 60.41, I 20

Structural model:
abc: 7.7441 7.7441 8.4009
angles: 118.05 118.05 31.22
Positions (direct):
Tm: 0.0000 0.0000 0.0000
Tm: 0.2949 0.2949 0.3423
Tm: 0.7051 0.7051 0.6577
Si: 0.1178 0.1178 0.3825
Si: 0.1398 0.1398 0.8397
Si: 0.3618 0.3618 0.7471
Si: 0.4846 0.4846 0.3002
Si: 0.5154 0.5154 0.6998
Si: 0.6382 0.6382 0.2529
Si: 0.8602 0.8602 0.1603
Si: 0.8822 0.8822 0.6175
Os: 0.0000 0.0000 0.5000
Os: 0.3260 0.3260 0.9934
Os: 0.6740 0.6740 0.0066

---

Entry 6:
The following is a simulated XRD peak list of U3Si3Os5. It was derived from a crystal structure in Alexandria, relaxed with GGA-PBE, using λ = 1.5418 Å (Cu Kα).
Neutral-atom scattering factors, no anomalous dispersion.

Main lines, by angle (15° ≤ 2θ ≤ 90°):
2θ 25.49, I 14
2θ 31.69, I 100
2θ 33.94, I 32
2θ 38.65, I 12
2θ 41.10, I 64
2θ 45.92, I 18
2θ 52.59, I 18
2θ 57.48, I 13
2θ 58.31, I 14
2θ 65.61, I 10
2θ 76.51, I 12
2θ 88.65, I 15

Structural model:
abc: 8.0701 8.0701 3.9523
angles: 90.00 90.00 120.00
Positions (direct):
U: 0.0000 0.7273 0.0000
U: 0.2727 0.2727 0.0000
U: 0.7273 0.0000 0.0000
Si: 0.0000 0.4744 0.5000
Si: 0.4744 0.0000 0.5000
Si: 0.5256 0.5256 0.5000
Os: 0.0000 0.1897 0.5000
Os: 0.1897 0.0000 0.5000
Os: 0.3333 0.6667 0.5000
Os: 0.6667 0.3333 0.5000
Os: 0.8103 0.8103 0.5000

---

Entry 7:
The following is a simulated XRD peak list of USi7Os3. It was derived from a crystal structure in Alexandria, relaxed with GGA-PBE, using λ = 1.5418 Å (Cu Kα).
Neutral-atom scattering factors, no anomalous dispersion.

Main lines, by angle (15° ≤ 2θ ≤ 90°):
2θ 16.07, I 24
2θ 26.92, I 100
2θ 35.75, I 55
2θ 40.36, I 18
2θ 40.98, I 51
2θ 47.30, I 35
2θ 49.59, I 14
2θ 49.71, I 29
2θ 55.49, I 14
2θ 66.32, I 19
2θ 70.85, I 24
2θ 71.24, I 18

Structural model:
abc: 7.9966 7.9966 7.9966
angles: 56.99 56.99 56.99
Positions (direct):
U: 0.0000 0.0000 0.0000
U: 0.5000 0.5000 0.5000
Si: 0.0661 0.8541 0.6669
Si: 0.1459 0.3331 0.9339
Si: 0.1669 0.3541 0.5661
Si: 0.2500 0.2500 0.2500
Si: 0.3331 0.9339 0.1459
Si: 0.3541 0.5661 0.1669
Si: 0.4339 0.8331 0.6459
Si: 0.5661 0.1669 0.3541
Si: 0.6459 0.4339 0.8331
Si: 0.6669 0.0661 0.8541
Si: 0.7500 0.7500 0.7500
Si: 0.8331 0.6459 0.4339
Si: 0.8541 0.6669 0.0661
Si: 0.9339 0.1459 0.3331
Os: 0.0781 0.7500 0.4219
Os: 0.2500 0.5781 0.9219
Os: 0.4219 0.0781 0.7500
Os: 0.5781 0.9219 0.2500
Os: 0.7500 0.4219 0.0781
Os: 0.9219 0.2500 0.5781

---

Entry 8:
The following is a simulated XRD peak list of U2Si2Os5W. It was derived from a crystal structure in Alexandria, relaxed with GGA-PBE, using λ = 1.5418 Å (Cu Kα).
Neutral-atom scattering factors, no anomalous dispersion.

Main lines, by angle (15° ≤ 2θ ≤ 90°):
2θ 32.56, I 59
2θ 36.49, I 27
2θ 38.76, I 62
2θ 38.92, I 100
2θ 39.93, I 11
2θ 42.19, I 25
2θ 42.34, I 32
2θ 50.93, I 24
2θ 65.79, I 27
2θ 67.89, I 11
2θ 68.21, I 12
2θ 74.95, I 17

Structural model:
abc: 9.5781 9.5781 3.5861
angles: 90.00 90.00 90.00
Positions (direct):
U: 0.1781 0.3219 0.0000
U: 0.3219 0.8219 0.0000
U: 0.6781 0.1781 0.0000
U: 0.8219 0.6781 0.0000
Si: 0.1207 0.6207 0.0000
Si: 0.3793 0.1207 0.0000
Si: 0.6207 0.8793 0.0000
Si: 0.8793 0.3793 0.0000
Os: 0.0000 0.5000 0.5000
Os: 0.0751 0.7916 0.5000
Os: 0.2084 0.0751 0.5000
Os: 0.2916 0.5751 0.5000
Os: 0.4249 0.2916 0.5000
Os: 0.5000 0.0000 0.5000
Os: 0.5751 0.7084 0.5000
Os: 0.7084 0.4249 0.5000
Os: 0.7916 0.9249 0.5000
Os: 0.9249 0.2084 0.5000
W: 0.0000 0.0000 0.0000
W: 0.5000 0.5000 0.0000

---

Entry 9:
The following is a simulated XRD peak list of VSiOs2. It was derived from a crystal structure in Alexandria, relaxed with GGA-PBE, using λ = 1.5418 Å (Cu Kα).
Neutral-atom scattering factors, no anomalous dispersion.

Main lines, by angle (15° ≤ 2θ ≤ 90°):
2θ 17.43, I 51
2θ 25.39, I 22
2θ 32.58, I 79
2θ 37.13, I 18
2θ 40.04, I 21
2θ 40.79, I 48
2θ 42.56, I 60
2θ 45.18, I 100
2θ 58.48, I 14
2θ 68.89, I 18
2θ 77.34, I 21
2θ 83.27, I 22

Structural model:
abc: 4.4248 4.8423 5.0877
angles: 90.00 90.00 90.00
Positions (direct):
V: 0.2500 0.1684 0.0000
V: 0.7500 0.8316 0.0000
Si: 0.2500 0.6704 0.2660
Si: 0.7500 0.3296 0.2660
Os: 0.2500 0.1779 0.4766
Os: 0.2500 0.6625 0.7773
Os: 0.7500 0.3375 0.7773
Os: 0.7500 0.8221 0.4766

---

Entry 10:
The following is a simulated XRD peak list of Y3Si2Os. It was derived from a crystal structure in Alexandria, relaxed with GGA-PBE, using λ = 1.5418 Å (Cu Kα).
Neutral-atom scattering factors, no anomalous dispersion.

Main lines, by angle (15° ≤ 2θ ≤ 90°):
2θ 17.27, I 59
2θ 17.43, I 54
2θ 22.71, I 34
2θ 26.38, I 46
2θ 30.80, I 43
2θ 31.94, I 93
2θ 32.52, I 34
2θ 35.50, I 100
2θ 38.82, I 64
2θ 41.58, I 59
2θ 42.84, I 40
2θ 43.38, I 54

Structural model:
abc: 11.5183 4.1720 11.3432
angles: 90.00 90.00 90.00
Positions (direct):
Y: 0.0601 0.2500 0.1199
Y: 0.1212 0.7500 0.5573
Y: 0.2110 0.2500 0.8000
Y: 0.2890 0.7500 0.3000
Y: 0.3788 0.2500 0.0573
Y: 0.4399 0.7500 0.6199
Y: 0.5601 0.2500 0.3801
Y: 0.6212 0.7500 0.9427
Y: 0.7110 0.2500 0.7000
Y: 0.7890 0.7500 0.2000
Y: 0.8788 0.2500 0.4427
Y: 0.9399 0.7500 0.8801
Si: 0.0240 0.7500 0.3132
Si: 0.1963 0.7500 0.9903
Si: 0.3037 0.2500 0.4903
Si: 0.4760 0.2500 0.8132
Si: 0.5240 0.7500 0.1868
Si: 0.6963 0.7500 0.5097
Si: 0.8037 0.2500 0.0097
Si: 0.9760 0.2500 0.6868
Os: 0.1273 0.2500 0.3612
Os: 0.3727 0.7500 0.8612
Os: 0.6273 0.2500 0.1388
Os: 0.8727 0.7500 0.6388

---

Entry 11:
The following is a simulated XRD peak list of Y2Si5Os3. It was derived from a crystal structure in Alexandria, relaxed with GGA-PBE, using λ = 1.5418 Å (Cu Kα).
Neutral-atom scattering factors, no anomalous dispersion.

Main lines, by angle (15° ≤ 2θ ≤ 90°):
2θ 18.37, I 19
2θ 23.87, I 84
2θ 25.32, I 41
2θ 33.79, I 51
2θ 34.95, I 34
2θ 35.32, I 100
2θ 36.78, I 20
2θ 41.32, I 20
2θ 43.74, I 62
2θ 44.81, I 32
2θ 56.14, I 26
2θ 58.68, I 24

Structural model:
abc: 8.2498 8.2498 5.6664
angles: 110.04 110.04 94.58
Positions (direct):
Y: 0.0974 0.3680 0.2329
Y: 0.3680 0.0974 0.7329
Y: 0.6320 0.9026 0.2671
Y: 0.9026 0.6320 0.7671
Si: 0.9997 0.0003 0.2500
Si: 0.0003 0.9997 0.7500
Si: 0.2363 0.4277 0.8318
Si: 0.2913 0.7087 0.7500
Si: 0.2916 0.7084 0.2500
Si: 0.4277 0.2363 0.3318
Si: 0.5723 0.7637 0.6682
Si: 0.7084 0.2916 0.7500
Si: 0.7087 0.2913 0.2500
Si: 0.7637 0.5723 0.1682
Os: 0.0509 0.7578 0.4036
Os: 0.2422 0.9491 0.0964
Os: 0.4998 0.5002 0.2500
Os: 0.5002 0.4998 0.7500
Os: 0.7578 0.0509 0.9036
Os: 0.9491 0.2422 0.5964